The following is a computed XRD peak list of CaH12CO9. It was derived from the GGA-PBE geometry in Alexandria, using Cu Kα X-rays.

Largest 8 diffraction maxima, in order of falling intensity, 10 to 90 degrees two-theta:
| 2θ (°) | I (rel.) | (hkl) |
| --- | --- | --- |
| 17.10 | 100 | 0 0 2 |
| 34.32 | 75 | 2 0 -4 |
| 31.52 | 61 | 2 0 2 |
| 33.92 | 55 | 3 1 0 |
| 21.27 | 38 | 2 0 0 |
| 15.02 | 32 | 1 1 0 |
| 40.94 | 32 | 1 3 -3 |
| 39.95 | 30 | 1 3 2 |

Crystal structure
```
data_CaH12CO9
_cell_length_a 8.832
_cell_length_b 8.322
_cell_length_c 10.955
_cell_angle_alpha 90.00
_cell_angle_beta 108.80
_cell_angle_gamma 90.00
_symmetry_space_group_name_H-M 'C 1 2/c 1'
_symmetry_Int_Tables_number 15
loop_
_symmetry_equiv_pos_as_xyz
'x,y,z'
'-x,-y,-z'
'-x,y,-z+1/2'
'x,-y,z+1/2'
'x+1/2,y+1/2,z'
'-x+1/2,-y+1/2,-z'
'-x+1/2,y+1/2,-z+1/2'
'x+1/2,-y+1/2,z+1/2'
loop_
_atom_site_label
_atom_site_type_symbol
_atom_site_fract_x
_atom_site_fract_y
_atom_site_fract_z
Ca1 Ca 0.000 0.142 0.250
H1 H 0.070 0.191 0.999
H2 H 0.126 0.488 0.332
H3 H 0.132 0.405 0.648
H4 H 0.155 0.335 0.093
H5 H 0.193 0.414 0.525
H6 H 0.219 0.120 0.644
C1 C 0.000 0.203 0.750
O1 O 0.000 0.359 0.750
O2 O 0.030 0.123 0.658
O3 O 0.119 0.222 0.091
O4 O 0.172 0.381 0.365
O5 O 0.215 0.452 0.616
```